Starting from a DFT-relaxed cell (PBE, Alexandria), the PXRD pattern of SrCuP2O7 was calculated for Cu Kα, 1.54184 Å.
No peak broadening, texture or thermal motion is included.

Crystal structure
```
data_SrCuP2O7
_chemical_formula_sum 'Sr4 Cu4 P8 O28'
_symmetry_space_group_name_H-M 'P 1 21/c 1'
_symmetry_Int_Tables_number 14
_cell_length_a 5.512
_cell_length_b 8.202
_cell_length_c 13.648
_cell_angle_alpha 90.00
_cell_angle_beta 112.79
_cell_angle_gamma 90.00
loop_
_symmetry_equiv_pos_as_xyz
'x,y,z'
'-x,-y,-z'
'-x,y+1/2,-z+1/2'
'x,-y+1/2,z+1/2'
loop_
_atom_site_label
_atom_site_fract_x
_atom_site_fract_y
_atom_site_fract_z
_atom_site_occupancy
Sr1 0.008 0.156 0.218 1
Cu1 0.328 0.646 0.613 1
P1 0.330 0.194 0.012 1
P2 0.405 0.037 0.661 1
O1 0.123 0.177 0.901 1
O2 0.179 0.058 0.698 1
O3 0.273 0.094 0.097 1
O4 0.317 0.117 0.545 1
O5 0.338 0.625 0.765 1
O6 0.381 0.664 0.477 1
O7 0.482 0.640 0.151 1
```

Top 12 peaks for 10° ≤ 2θ ≤ 90°, low angle first:
two_theta, I/Imax, h k l
12.88, 39.0, 0 1 1
26.48, 100.0, 1 0 2
27.10, 80.6, 1 2 -1
29.10, 52.6, 1 1 -4
30.49, 55.5, 0 2 3
30.81, 30.5, 1 2 -3
32.50, 66.2, 2 0 -2
33.54, 40.4, 0 3 1
34.35, 25.5, 1 1 3
39.37, 24.2, 1 3 1
44.60, 35.2, 0 1 6
44.86, 38.0, 2 2 1


Starting from a DFT-relaxed cell (PBE, Alexandria), the PXRD pattern of Sr2CuP2O8 was calculated for Cu Kα, 1.54184 Å.
No peak broadening, texture or thermal motion is included.

Crystal structure
```
data_Sr2CuP2O8
_chemical_formula_sum 'Sr4 Cu2 P4 O16'
_symmetry_space_group_name_H-M 'C 1 2/m 1'
_symmetry_Int_Tables_number 12
_cell_length_a 11.647
_cell_length_b 5.133
_cell_length_c 6.685
_cell_angle_alpha 90.00
_cell_angle_beta 106.47
_cell_angle_gamma 90.00
loop_
_symmetry_equiv_pos_as_xyz
'x,y,z'
'-x,-y,-z'
'-x,y,-z'
'x,-y,z'
'x+1/2,y+1/2,z'
'-x+1/2,-y+1/2,-z'
'-x+1/2,y+1/2,-z'
'x+1/2,-y+1/2,z'
loop_
_atom_site_label
_atom_site_fract_x
_atom_site_fract_y
_atom_site_fract_z
_atom_site_occupancy
Sr1 0.170 0.000 0.217 1
Cu1 0.000 0.500 0.500 1
P1 0.143 0.000 0.710 1
O1 0.050 0.000 0.833 1
O2 0.131 0.245 0.564 1
O3 0.228 0.500 0.142 1
```

Top 12 peaks for 10° ≤ 2θ ≤ 90°, low angle first:
two_theta, I/Imax, h k l
19.03, 31.8, 1 1 0
22.20, 65.3, 1 1 -1
27.88, 78.7, 2 0 -2
29.64, 100.0, 3 1 0
31.95, 25.7, 1 1 -2
34.96, 41.3, 0 2 0
35.85, 63.2, 1 1 2
45.28, 35.1, 0 2 2
45.96, 32.3, 5 1 -2
47.48, 27.8, 4 2 -1
48.95, 27.5, 6 0 0
61.56, 26.0, 4 2 2


Starting from a DFT-relaxed cell (PBE, Alexandria), the PXRD pattern of SrCuP2O6 was calculated for Cu Kα, 1.54184 Å.
No peak broadening, texture or thermal motion is included.

Crystal structure
```
data_SrCuP2O6
_chemical_formula_sum 'Sr3 Cu3 P6 O18'
_symmetry_space_group_name_H-M 'R -3'
_symmetry_Int_Tables_number 148
_symmetry_space_group_name_Hall '-R 3'
_cell_length_a 5.3135
_cell_length_b 5.3135
_cell_length_c 17.3667
_cell_angle_alpha 90.00
_cell_angle_beta 90.00
_cell_angle_gamma 120.00
loop_
_atom_site_label
_atom_site_fract_x
_atom_site_fract_y
_atom_site_fract_z
_atom_site_occupancy
Sr1 0.0000 0.0000 0.0000 1
Cu1 0.0000 0.0000 0.5000 1
P1 0.0000 0.0000 0.2558 1
O1 0.0329 0.6332 0.9068 1
```

Top 12 peaks for 10° ≤ 2θ ≤ 90°, low angle first:
two_theta, I/Imax, h k l
21.86, 17.3, 0 1 2
28.26, 100.0, 1 0 4
33.74, 32.9, 1 1 0
37.24, 10.6, 2 -1 3
40.56, 9.6, 2 0 2
44.57, 16.5, 0 2 4
46.24, 22.1, 0 1 8
46.39, 16.6, 1 1 6
57.04, 19.3, 2 1 4
60.34, 13.8, 3 0 0
69.22, 10.4, 3 -2 8
78.04, 10.6, 4 -3 4